Theoretical powder diffractogram
Compound: Li2Fe3SnO8
Radiation: Cu Ka
Structure: a PBE+U-relaxed structure
Kinematic intensities with the Lorentz-polarization factor, no thermal factor.

Atomic structure:
abc: 5.893 6.069 10.194
angles: 106.52 90.09 118.72
Sites, in units of the cell vectors:
Li1 0.000 0.000 0.000
Li2 0.129 0.261 0.380
Li3 0.488 0.990 0.501
Li4 0.642 0.276 0.885
Fe1 0.063 0.634 0.196
Fe2 0.065 0.634 0.692
Fe3 0.321 0.635 0.943
Fe4 0.567 0.633 0.192
Fe5 0.567 0.634 0.691
Fe6 0.808 0.630 0.441
Sn1 0.065 0.132 0.690
Sn2 0.566 0.134 0.193
O1 0.153 0.855 0.570
O2 0.205 0.856 0.060
O3 0.212 0.414 0.586
O4 0.223 0.430 0.064
O5 0.424 0.831 0.808
O6 0.435 0.861 0.299
O7 0.439 0.415 0.813
O8 0.468 0.405 0.314
O9 0.656 0.856 0.066
O10 0.688 0.856 0.576
O11 0.696 0.403 0.084
O12 0.705 0.434 0.582
O13 0.911 0.841 0.314
O14 0.920 0.855 0.798
O15 0.929 0.401 0.319
O16 0.983 0.414 0.817

Largest 10 diffraction maxima, by intensity, 5° ≤ 2θ ≤ 70°:
2θ/deg  intensity
18.3  1000
42.7  527
18.4  480
35.4  274
42.9  260
34.5  201
35.2  186
63.1  158
37.3  141
17.6  111

---

Theoretical powder diffractogram
Compound: YSbMo2O9
Radiation: Cu Ka
Structure: a PBE+U-relaxed structure
Kinematic intensities with the Lorentz-polarization factor, no thermal factor.

Atomic structure:
abc: 9.728 9.728 10.874
angles: 111.85 111.85 95.45
Sites, in units of the cell vectors:
Y1 0.126 0.874 0.750
Y2 0.328 0.672 0.250
Y3 0.672 0.328 0.750
Y4 0.874 0.126 0.250
Sb1 0.349 0.380 0.464
Sb2 0.380 0.349 0.964
Sb3 0.620 0.651 0.036
Sb4 0.651 0.620 0.536
Mo1 0.046 0.259 0.025
Mo2 0.058 0.434 0.693
Mo3 0.259 0.046 0.525
Mo4 0.434 0.058 0.193
Mo5 0.566 0.942 0.807
Mo6 0.741 0.954 0.475
Mo7 0.942 0.566 0.307
Mo8 0.954 0.741 0.975
O1 0.020 0.693 0.498
O2 0.043 0.221 0.174
O3 0.067 0.096 0.898
O4 0.093 0.557 0.252
O5 0.096 0.067 0.398
O6 0.129 0.702 0.068
O7 0.145 0.621 0.727
O8 0.209 0.364 0.797
O9 0.221 0.043 0.674
O10 0.221 0.406 0.079
O11 0.298 0.871 0.432
O12 0.307 0.980 0.002
O13 0.364 0.209 0.297
O14 0.379 0.855 0.773
O15 0.406 0.221 0.579
O16 0.423 0.542 0.400
O17 0.443 0.907 0.248
O18 0.458 0.577 0.100
O19 0.542 0.423 0.900
O20 0.557 0.093 0.752
O21 0.577 0.458 0.600
O22 0.594 0.779 0.421
O23 0.621 0.145 0.227
O24 0.636 0.791 0.703
O25 0.693 0.020 0.998
O26 0.702 0.129 0.568
O27 0.779 0.594 0.921
O28 0.779 0.957 0.326
O29 0.791 0.636 0.203
O30 0.855 0.379 0.273
O31 0.871 0.298 0.932
O32 0.904 0.933 0.602
O33 0.907 0.443 0.748
O34 0.933 0.904 0.102
O35 0.957 0.779 0.826
O36 0.980 0.307 0.502

Largest 10 diffraction maxima, by intensity, 5° ≤ 2θ ≤ 70°:
2θ/deg  intensity
27.3  1000
23.2  968
24.9  935
26.4  888
28.3  739
27.6  593
47.0  419
48.1  413
26.6  297
51.0  285

---

Theoretical powder diffractogram
Compound: CoBiO4
Radiation: Cu Ka
Structure: a PBE+U-relaxed structure
Kinematic intensities with the Lorentz-polarization factor, no thermal factor.

Atomic structure:
abc: 6.169 6.169 6.169
angles: 125.01 113.00 92.03
Sites, in units of the cell vectors:
Co1 0.500 0.000 0.000
Co2 0.500 0.500 0.500
Bi1 0.000 0.000 0.000
Bi2 0.500 0.000 0.500
O1 0.276 0.276 0.500
O2 0.276 0.775 0.000
O3 0.310 0.248 0.061
O4 0.313 0.752 0.561
O5 0.687 0.248 0.439
O6 0.690 0.752 0.939
O7 0.724 0.225 0.000
O8 0.724 0.724 0.500

Largest 10 diffraction maxima, by intensity, 5° ≤ 2θ ≤ 70°:
2θ/deg  intensity
18.7  1000
32.4  535
41.3  337
33.6  256
44.3  227
16.6  225
35.2  213
60.5  200
20.7  181
37.9  173

---

Theoretical powder diffractogram
Compound: Li4Co3NiO8
Radiation: Cu Ka
Structure: a PBE+U-relaxed structure
Kinematic intensities with the Lorentz-polarization factor, no thermal factor.

Atomic structure:
abc: 5.831 5.875 10.163
angles: 90.23 106.58 119.47
Sites, in units of the cell vectors:
Li1 0.000 0.000 0.000
Li2 0.002 0.500 0.499
Li3 0.008 0.252 0.260
Li4 0.488 0.737 0.737
Li5 0.500 0.000 0.000
Li6 0.502 0.500 0.500
Li7 0.516 0.264 0.263
Li8 0.995 0.749 0.740
Co1 0.000 0.500 0.000
Co2 0.002 0.000 0.500
Co3 0.498 0.751 0.252
Co4 0.500 0.500 0.000
Co5 0.502 0.000 0.500
Co6 0.504 0.249 0.747
Ni1 0.003 0.751 0.250
Ni2 0.999 0.249 0.750
O1 0.228 0.835 0.114
O2 0.237 0.348 0.620
O3 0.247 0.605 0.892
O4 0.254 0.390 0.108
O5 0.257 0.885 0.628
O6 0.264 0.114 0.381
O7 0.267 0.636 0.365
O8 0.284 0.167 0.878
O9 0.717 0.833 0.121
O10 0.735 0.364 0.634
O11 0.739 0.886 0.619
O12 0.746 0.116 0.371
O13 0.747 0.610 0.891
O14 0.754 0.395 0.108
O15 0.765 0.653 0.379
O16 0.773 0.166 0.885

Largest 10 diffraction maxima, by intensity, 5° ≤ 2θ ≤ 70°:
2θ/deg  intensity
18.4  1000
43.7  485
36.0  284
43.4  246
63.3  198
35.8  141
37.5  104
57.3  71
63.9  67
63.0  66

---

Theoretical powder diffractogram
Compound: Ti4MnP6O24
Radiation: Cu Ka
Structure: a PBE+U-relaxed structure
Kinematic intensities with the Lorentz-polarization factor, no thermal factor.

Atomic structure:
abc: 8.687 8.687 8.687
angles: 59.72 59.72 59.72
Sites, in units of the cell vectors:
Ti1 0.134 0.134 0.134
Ti2 0.352 0.352 0.352
Ti3 0.648 0.648 0.648
Ti4 0.866 0.866 0.866
Mn1 0.500 0.500 0.500
P1 0.044 0.746 0.471
P2 0.254 0.529 0.956
P3 0.471 0.044 0.746
P4 0.529 0.956 0.254
P5 0.746 0.471 0.044
P6 0.956 0.254 0.529
O1 0.008 0.786 0.640
O2 0.055 0.916 0.287
O3 0.084 0.713 0.945
O4 0.119 0.312 0.491
O5 0.214 0.360 0.992
O6 0.236 0.580 0.443
O7 0.287 0.055 0.916
O8 0.312 0.491 0.119
O9 0.360 0.992 0.214
O10 0.420 0.557 0.764
O11 0.443 0.236 0.580
O12 0.491 0.119 0.312
O13 0.509 0.881 0.688
O14 0.557 0.764 0.420
O15 0.580 0.443 0.236
O16 0.640 0.008 0.786
O17 0.688 0.509 0.881
O18 0.713 0.945 0.084
O19 0.764 0.420 0.557
O20 0.786 0.640 0.008
O21 0.881 0.688 0.509
O22 0.916 0.287 0.055
O23 0.945 0.084 0.713
O24 0.992 0.214 0.360

Largest 10 diffraction maxima, by intensity, 5° ≤ 2θ ≤ 70°:
2θ/deg  intensity
24.1  1000
20.5  537
32.6  349
31.9  186
12.5  186
36.0  186
29.1  186
46.8  176
56.3  168
49.3  147